(1)
For Ba3In5Pb6, a crystal structure in Alexandria, relaxed with PBE gives the calculated X-ray diffraction stick pattern in this record (Cu Ka).
Intensities are scaled so that the largest is 100.

Structural model:
Lattice parameters (Å, degrees): 5.139 16.107 11.496 90.00 90.00 90.00
Sites, in units of the cell vectors:
Ba (0.250, 0.068, 0.247)
Ba (0.250, 0.432, 0.247)
Ba (0.250, 0.750, 0.247)
Ba (0.750, 0.250, 0.753)
Ba (0.750, 0.568, 0.753)
Ba (0.750, 0.932, 0.753)
In (0.250, 0.086, 0.872)
In (0.250, 0.414, 0.872)
In (0.250, 0.626, 0.538)
In (0.250, 0.750, 0.766)
In (0.250, 0.874, 0.538)
In (0.750, 0.126, 0.462)
In (0.750, 0.250, 0.234)
In (0.750, 0.374, 0.462)
In (0.750, 0.586, 0.128)
In (0.750, 0.914, 0.128)
Pb (0.250, 0.069, 0.606)
Pb (0.250, 0.250, 0.026)
Pb (0.250, 0.250, 0.475)
Pb (0.250, 0.431, 0.606)
Pb (0.250, 0.600, 0.979)
Pb (0.250, 0.900, 0.979)
Pb (0.750, 0.100, 0.021)
Pb (0.750, 0.400, 0.021)
Pb (0.750, 0.569, 0.394)
Pb (0.750, 0.750, 0.525)
Pb (0.750, 0.750, 0.974)
Pb (0.750, 0.931, 0.394)

Top 10 peaks for 2θ from 10° to 90°, in order of rising 2θ:
15.42 deg, I = 16
28.62 deg, I = 100
29.07 deg, I = 21
31.15 deg, I = 25
32.81 deg, I = 17
33.38 deg, I = 27
34.92 deg, I = 36
39.64 deg, I = 23
49.08 deg, I = 18
53.83 deg, I = 19

***

(2)
For CsK2PbCl5, a crystal structure in Alexandria, relaxed with PBE gives the calculated X-ray diffraction stick pattern in this record (Cu Ka).
Intensities are scaled so that the largest is 100.

Structural model:
Lattice parameters (Å, degrees): 9.090 9.090 9.090 144.34 128.81 63.95
Sites, in units of the cell vectors:
Cs (0.000, 0.000, 0.000)
K (0.293, 0.793, 0.500)
K (0.707, 0.207, 0.500)
Pb (0.500, 0.500, 0.000)
Cl (0.114, 0.362, 0.752)
Cl (0.390, 0.638, 0.752)
Cl (0.500, 0.000, 0.500)
Cl (0.610, 0.362, 0.248)
Cl (0.886, 0.638, 0.248)

Top 10 peaks for 2θ from 10° to 90°, in order of rising 2θ:
11.48 deg, I = 53
12.65 deg, I = 21
19.55 deg, I = 20
22.71 deg, I = 100
25.45 deg, I = 25
30.41 deg, I = 20
32.16 deg, I = 24
32.55 deg, I = 38
39.80 deg, I = 20
46.41 deg, I = 27

***

(3)
For CsScSiO4, a crystal structure in Alexandria, relaxed with PBE gives the calculated X-ray diffraction stick pattern in this record (Cu Ka).
Intensities are scaled so that the largest is 100.

Structural model:
Lattice parameters (Å, degrees): 5.355 5.714 7.975 90.00 108.10 90.00
Sites, in units of the cell vectors:
Cs (0.242, 0.250, 0.432)
Cs (0.758, 0.750, 0.568)
Sc (0.328, 0.750, 0.029)
Sc (0.672, 0.250, 0.971)
Si (0.112, 0.250, 0.862)
Si (0.888, 0.750, 0.138)
O (0.079, 0.250, 0.060)
O (0.193, 0.750, 0.266)
O (0.307, 0.029, 0.846)
O (0.307, 0.471, 0.846)
O (0.693, 0.529, 0.154)
O (0.693, 0.971, 0.154)
O (0.807, 0.250, 0.734)
O (0.921, 0.750, 0.940)

Top 10 peaks for 2θ from 10° to 90°, in order of rising 2θ:
23.43 deg, I = 100
23.63 deg, I = 88
24.54 deg, I = 53
28.25 deg, I = 66
28.61 deg, I = 71
31.31 deg, I = 60
33.53 deg, I = 37
35.27 deg, I = 32
39.50 deg, I = 24
54.06 deg, I = 27

***

(4)
For MnSn, a crystal structure in Alexandria, relaxed with PBE gives the calculated X-ray diffraction stick pattern in this record (Cu Ka).
Intensities are scaled so that the largest is 100.

Structural model:
Lattice parameters (Å, degrees): 3.326 3.326 3.326 90.00 90.00 90.00
Sites, in units of the cell vectors:
Mn (0.000, 0.000, 0.000)
Sn (0.500, 0.500, 0.500)

Top 8 peaks for 2θ from 10° to 90°, in order of rising 2θ:
26.80 deg, I = 16
38.27 deg, I = 100
47.34 deg, I = 5
55.23 deg, I = 17
62.43 deg, I = 8
69.18 deg, I = 35
81.92 deg, I = 11
88.10 deg, I = 5

***

(5)
For Fe3P4, a crystal structure in Alexandria, relaxed with PBE gives the calculated X-ray diffraction stick pattern in this record (Cu Ka).
Intensities are scaled so that the largest is 100.

Structural model:
Lattice parameters (Å, degrees): 8.933 8.933 8.933 160.07 160.07 28.33
Sites, in units of the cell vectors:
Fe (0.000, 0.000, 0.000)
Fe (0.301, 0.301, 0.000)
Fe (0.699, 0.699, 0.000)
P (0.167, 0.167, 0.000)
P (0.431, 0.431, 0.000)
P (0.569, 0.569, 0.000)
P (0.833, 0.833, 0.000)

Top 10 peaks for 2θ from 10° to 90°, in order of rising 2θ:
10.21 deg, I = 13
20.51 deg, I = 10
30.97 deg, I = 15
32.86 deg, I = 26
41.30 deg, I = 100
47.03 deg, I = 87
52.50 deg, I = 12
59.83 deg, I = 31
60.14 deg, I = 11
79.38 deg, I = 34

***

(6)
For SrTeRh2, a crystal structure in Alexandria, relaxed with PBE gives the calculated X-ray diffraction stick pattern in this record (Cu Ka).
Intensities are scaled so that the largest is 100.

Structural model:
Lattice parameters (Å, degrees): 4.518 4.518 5.906 112.42 112.42 60.02
Sites, in units of the cell vectors:
Sr (0.000, 0.000, 0.000)
Te (0.500, 0.500, 0.500)
Rh (0.198, 0.198, 0.595)
Rh (0.802, 0.802, 0.405)

Top 10 peaks for 2θ from 10° to 90°, in order of rising 2θ:
16.72 deg, I = 76
32.09 deg, I = 74
33.81 deg, I = 25
36.40 deg, I = 22
39.90 deg, I = 100
43.54 deg, I = 38
52.09 deg, I = 18
53.27 deg, I = 40
63.09 deg, I = 26
72.45 deg, I = 17

***

(7)
For TiCdRhAu, a crystal structure in Alexandria, relaxed with PBE gives the calculated X-ray diffraction stick pattern in this record (Cu Ka).
Intensities are scaled so that the largest is 100.

Structural model:
Lattice parameters (Å, degrees): 3.127 3.127 7.103 90.00 90.00 90.00
Sites, in units of the cell vectors:
Ti (0.000, 0.000, 0.000)
Cd (0.000, 0.000, 0.461)
Rh (0.500, 0.500, 0.185)
Au (0.500, 0.500, 0.750)

Top 10 peaks for 2θ from 10° to 90°, in order of rising 2θ:
28.54 deg, I = 11
31.25 deg, I = 25
38.00 deg, I = 10
38.35 deg, I = 100
40.81 deg, I = 47
56.98 deg, I = 13
59.08 deg, I = 16
67.67 deg, I = 12
72.66 deg, I = 30
73.17 deg, I = 10

***

(8)
For YFeCoSi3, a crystal structure in Alexandria, relaxed with PBE gives the calculated X-ray diffraction stick pattern in this record (Cu Ka).
Intensities are scaled so that the largest is 100.

Structural model:
Lattice parameters (Å, degrees): 6.515 6.515 5.675 90.00 90.00 125.45
Sites, in units of the cell vectors:
Y (0.226, 0.774, 0.750)
Y (0.774, 0.226, 0.250)
Fe (0.028, 0.972, 0.250)
Fe (0.972, 0.028, 0.750)
Co (0.391, 0.609, 0.250)
Co (0.609, 0.391, 0.750)
Si (0.210, 0.790, 0.250)
Si (0.294, 0.294, 0.000)
Si (0.294, 0.294, 0.500)
Si (0.706, 0.706, 0.000)
Si (0.706, 0.706, 0.500)
Si (0.790, 0.210, 0.750)

Top 10 peaks for 2θ from 10° to 90°, in order of rising 2θ:
29.93 deg, I = 52
30.88 deg, I = 24
31.53 deg, I = 41
31.79 deg, I = 100
35.22 deg, I = 18
41.83 deg, I = 32
44.03 deg, I = 78
53.31 deg, I = 43
54.32 deg, I = 20
56.31 deg, I = 18